# 1
Structure and computed X-ray diffraction stick pattern of CrMo6W3 (the PBE geometry in Alexandria; Cu Kα X-rays).

Structure:
Lattice parameters (Å, degrees): 7.704 4.452 9.439 90.00 105.71 90.00
Fractional positions:
Cr1 0.048 0.250 0.402
Cr2 0.952 0.750 0.598
Mo1 0.049 0.750 0.897
Mo2 0.145 0.250 0.694
Mo3 0.149 0.750 0.203
Mo4 0.243 0.750 0.499
Mo5 0.348 0.250 0.302
Mo6 0.450 0.750 0.101
Mo7 0.550 0.250 0.899
Mo8 0.652 0.750 0.698
Mo9 0.757 0.250 0.501
Mo10 0.851 0.250 0.797
Mo11 0.855 0.750 0.306
Mo12 0.951 0.250 0.103
W1 0.249 0.250 0.999
W2 0.347 0.750 0.797
W3 0.447 0.250 0.598
W4 0.553 0.750 0.402
W5 0.653 0.250 0.203
W6 0.751 0.750 0.001

Principal peaks in the range 2θ from 5° to 70°, in order of rising 2θ:
2θ (°)	d [Å]	I/Imax
11.9	7.417	5
17.4	5.108	3
28.1	3.180	2
28.4	3.147	4
30.9	2.896	2
40.5	2.225	100
58.7	1.573	17
66.4	1.407	2

# 2
Structure and computed X-ray diffraction stick pattern of Pr4Ni3Pt (the PBE geometry in Alexandria; Cu Kα X-rays).

Structure:
Lattice parameters (Å, degrees): 3.915 4.429 10.705 90.00 90.00 90.00
Fractional positions:
Pr1 0.000 0.000 0.000
Pr2 0.000 0.500 0.270
Pr3 0.500 0.000 0.490
Pr4 0.500 0.500 0.772
Ni1 0.000 0.500 0.552
Ni2 0.500 0.000 0.203
Ni3 0.500 0.500 0.064
Pt1 0.000 0.000 0.711

Principal peaks in the range 2θ from 5° to 70°, in order of rising 2θ:
2θ (°)	d [Å]	I/Imax
31.6	2.829	100
33.5	2.676	25
34.0	2.637	33
39.3	2.291	22
39.8	2.266	63
40.7	2.215	30
46.4	1.958	20
54.1	1.696	22

# 3
Structure and computed X-ray diffraction stick pattern of Er3Sc4 (the PBE geometry in Alexandria; Cu Kα X-rays).

Structure:
Lattice parameters (Å, degrees): 5.798 5.798 7.552 97.77 97.77 48.74
Fractional positions:
Er1 0.000 0.000 0.000
Er2 0.426 0.426 0.285
Er3 0.574 0.574 0.715
Sc1 0.144 0.144 0.433
Sc2 0.286 0.286 0.853
Sc3 0.714 0.714 0.147
Sc4 0.856 0.856 0.567

Principal peaks in the range 2θ from 5° to 70°, in order of rising 2θ:
2θ (°)	d [Å]	I/Imax
17.0	5.223	17
23.0	3.864	19
32.6	2.748	100
37.6	2.391	34
38.2	2.358	16
54.3	1.691	11
54.6	1.680	17
64.7	1.440	20

# 4
Structure and computed X-ray diffraction stick pattern of Ac4Se3N2 (the PBE geometry in Alexandria; Cu Kα X-rays).

Structure:
Lattice parameters (Å, degrees): 7.625 7.625 11.000 127.01 127.01 32.94
Fractional positions:
Ac1 0.111 0.111 0.368
Ac2 0.298 0.298 0.858
Ac3 0.702 0.702 0.142
Ac4 0.889 0.889 0.632
Se1 0.000 0.000 0.000
Se2 0.389 0.389 0.233
Se3 0.611 0.611 0.767
N1 0.296 0.296 0.642
N2 0.704 0.704 0.358

Principal peaks in the range 2θ from 5° to 70°, in order of rising 2θ:
2θ (°)	d [Å]	I/Imax
23.6	3.773	19
24.6	3.619	55
26.7	3.333	18
27.9	3.195	100
33.7	2.658	37
41.1	2.198	34
41.8	2.162	23
49.1	1.856	17

# 5
Structure and computed X-ray diffraction stick pattern of Sr3Al7Ga4 (the PBE geometry in Alexandria; Cu Kα X-rays).

Structure:
Lattice parameters (Å, degrees): 8.545 8.545 10.213 124.58 124.58 29.95
Fractional positions:
Sr1 0.000 0.000 0.000
Sr2 0.311 0.311 0.310
Sr3 0.689 0.689 0.690
Al1 0.000 0.000 0.500
Al2 0.149 0.149 0.423
Al3 0.331 0.331 0.974
Al4 0.498 0.498 0.708
Al5 0.502 0.502 0.292
Al6 0.669 0.669 0.026
Al7 0.851 0.851 0.577
Ga1 0.133 0.133 0.855
Ga2 0.342 0.342 0.717
Ga3 0.658 0.658 0.283
Ga4 0.867 0.867 0.145

Principal peaks in the range 2θ from 5° to 70°, in order of rising 2θ:
2θ (°)	d [Å]	I/Imax
28.5	3.135	42
33.1	2.704	100
33.2	2.695	92
33.8	2.655	35
34.0	2.640	94
40.5	2.226	41
40.9	2.208	70
52.5	1.743	29

# 6
Structure and computed X-ray diffraction stick pattern of NaCu3F9 (the PBE geometry in Alexandria; Cu Kα X-rays).

Structure:
Lattice parameters (Å, degrees): 5.296 7.506 8.103 90.00 94.06 90.00
Fractional positions:
Na1 0.037 0.250 0.428
Na2 0.963 0.750 0.572
Cu1 0.000 0.000 0.000
Cu2 0.000 0.500 0.000
Cu3 0.467 0.003 0.686
Cu4 0.467 0.497 0.686
Cu5 0.533 0.503 0.314
Cu6 0.533 0.997 0.314
F1 0.089 0.250 0.989
F2 0.168 0.550 0.799
F3 0.168 0.950 0.799
F4 0.263 0.541 0.474
F5 0.263 0.959 0.474
F6 0.309 0.548 0.128
F7 0.309 0.952 0.128
F8 0.354 0.250 0.664
F9 0.432 0.250 0.309
F10 0.568 0.750 0.691
F11 0.646 0.750 0.336
F12 0.691 0.048 0.872
F13 0.691 0.452 0.872
F14 0.737 0.041 0.526
F15 0.737 0.459 0.526
F16 0.832 0.050 0.201
F17 0.832 0.450 0.201
F18 0.911 0.750 0.011

Principal peaks in the range 2θ from 5° to 70°, in order of rising 2θ:
2θ (°)	d [Å]	I/Imax
19.4	4.573	32
20.7	4.285	72
23.7	3.753	100
26.8	3.325	73
28.7	3.105	34
31.7	2.823	34
48.5	1.876	30
56.1	1.640	25